Diffraction record for PdS2Cl8. The powder diffractogram is calculated, not measured: it uses a structure optimized by DFT (PBE) and Cu Kα.
Kinematic intensities with the Lorentz-polarization factor, no thermal factor.

Top 8 peaks for 2θ = 15–90°, low angle first:
2θ (°)	d/Å	intensity
16.08	5.513	46
20.32	4.370	100
23.97	3.713	27
24.34	3.657	24
27.93	3.194	38
29.00	3.079	35
36.50	2.462	35
42.09	2.147	24

Crystal structure
a b c (Å): 7.667 7.667 7.078
angles (deg): 104.33 104.33 57.92
Element x y z (fractional)
Pd 0.000 0.000 0.000
S 0.281 0.281 0.755
S 0.719 0.719 0.245
Cl 0.106 0.673 0.058
Cl 0.161 0.161 0.507
Cl 0.327 0.894 0.942
Cl 0.403 0.403 0.647
Cl 0.597 0.597 0.353
Cl 0.673 0.106 0.058
Cl 0.839 0.839 0.493
Cl 0.894 0.327 0.942